[1]
Structure and simulated PXRD pattern of NdHo4Ag (a structure optimized by DFT (GGA-PBE); CuKα).

Peak list (10 most intense, 2θ = 10–90°, sorted by position)
h k l  two_theta  intensity
1 0 2  28.12  8
1 0 3  31.67  100
1 1 0  35.57  43
0 0 6  38.98  8
1 1 5  48.79  9
2 0 0  51.19  15
1 1 6  53.79  13
1 0 8  59.28  13
2 1 3  61.46  30
2 1 8  82.08  8

Structure:
Cell: 3.569 3.569 13.864 Å, 90.00 90.00 90.00°
Space group P4/mmm (No. 123)
Inequivalent atoms, fractional coordinates:
Nd 0.000 0.000 0.000 [1 per cell]
Ho 0.000 0.000 0.365 [2 per cell]
Ho 0.500 0.500 0.184 [2 per cell]
Ag 0.500 0.500 0.500 [1 per cell]


[2]
Structure and simulated PXRD pattern of NdHo6Ag (a structure optimized by DFT (GGA-PBE); CuKα).

Peak list (10 most intense, 2θ = 10–90°, sorted by position)
h k l  two_theta  intensity
0 0 3  27.63  25
2 0 2  28.80  20
2 1 1  30.74  100
3 0 0  33.31  12
1 1 3  33.78  28
3 -2 2  34.76  85
2 1 4  47.98  20
1 4 0  51.93  27
5 -1 3  59.83  13
4 2 2  64.02  13

Structure:
Cell: 9.3171 9.3171 9.6852 Å, 90.00 90.00 120.00°
Space group R-3 (No. 148, hexagonal axes)
Inequivalent atoms, fractional coordinates:
Nd 0.0000 0.0000 0.0000 [3 per cell]
Ho 0.0303 0.2528 0.7057 [18 per cell]
Ag 0.0000 0.0000 0.5000 [3 per cell]


[3]
Structure and simulated PXRD pattern of NdHoAg (a structure optimized by DFT (GGA-PBE); CuKα).

Peak list (10 most intense, 2θ = 10–90°, sorted by position)
h k l  two_theta  intensity
1 1 1  28.73  100
1 0 2  30.11  36
1 1 2  35.51  68
2 0 0  37.27  68
1 0 3  40.51  26
2 1 2  48.63  19
2 2 0  53.73  24
2 1 3  56.22  20
3 1 1  62.06  23
3 1 2  66.07  22

Structure:
Cell: 4.825 4.825 7.530 Å, 90.00 90.00 90.00°
Space group P4/nmm (No. 129, origin choice 2)
Inequivalent atoms, fractional coordinates:
Nd 0.250 0.250 0.127 [2 per cell]
Ho 0.250 0.750 0.500 [2 per cell]
Ag 0.250 0.250 0.737 [2 per cell]


[4]
Structure and simulated PXRD pattern of Ho3NiAg (a structure optimized by DFT (GGA-PBE); CuKα).

Peak list (10 most intense, 2θ = 10–90°, sorted by position)
h k l  two_theta  intensity
0 2 0  27.71  44
3 1 -1  30.21  50
3 1 -2  31.78  72
2 0 -3  31.88  31
1 1 2  32.83  100
3 1 0  33.23  69
2 2 -2  36.25  70
0 2 2  36.71  68
2 0 -4  42.69  41
3 3 0  52.63  37

Structure:
Cell: 10.018 6.438 8.482 Å, 90.00 117.26 90.00°
Space group C2/m (No. 12)
Inequivalent atoms, fractional coordinates:
Ho 0.031 0.000 0.227 [4 per cell]
Ho 0.181 0.500 0.873 [4 per cell]
Ho 0.209 0.500 0.316 [4 per cell]
Ni 0.000 0.305 0.000 [4 per cell]
Ag 0.000 0.283 0.500 [4 per cell]